No. 1
Diffraction record for CaAl6H12S4O28. The powder X-ray diffraction pattern is computed, not measured: it uses a cell relaxed with GGA-PBE and a wavelength of 1.5418 Å.

Principal peaks in the range 10° ≤ 2θ ≤ 80°, by angle:
d [Å]  two_theta  intensity
4.959  17.89  88
3.529  25.24  25
3.008  29.70  51
2.994  29.84  100
2.967  30.12  11
2.253  40.02  38
1.917  47.43  42
1.764  51.82  31
1.483  62.63  23
1.298  72.86  10

Atomic structure:
```
data_CaAl6H12S4O28
_space_group_name_H-M_alt 'P 1'
_space_group_IT_number 1
_cell_length_a 12.0226
_cell_length_b 12.0226
_cell_length_c 12.0226
_cell_angle_alpha 34.14
_cell_angle_beta 34.14
_cell_angle_gamma 34.14
loop_
_space_group_symop_operation_xyz
'x,y,z'
loop_
_atom_site_label
_atom_site_type_symbol
_atom_site_fract_x
_atom_site_fract_y
_atom_site_fract_z
Ca1 Ca 0.0000 0.0000 0.0000
Al1 Al 0.2507 0.2507 0.7464
Al2 Al 0.2507 0.7464 0.2507
Al3 Al 0.2536 0.7493 0.7493
Al4 Al 0.7464 0.2507 0.2507
Al5 Al 0.7493 0.2536 0.7493
Al6 Al 0.7493 0.7493 0.2536
H1 H 0.0757 0.6340 0.6340
H2 H 0.1420 0.1420 0.5472
H3 H 0.1420 0.5472 0.1420
H4 H 0.3660 0.3660 0.9243
H5 H 0.3660 0.9243 0.3660
H6 H 0.4528 0.8580 0.8580
H7 H 0.5472 0.1420 0.1420
H8 H 0.6340 0.0757 0.6340
H9 H 0.6340 0.6340 0.0757
H10 H 0.8580 0.4528 0.8580
H11 H 0.8580 0.8580 0.4528
H12 H 0.9243 0.3660 0.3660
S1 S 0.1503 0.1503 0.1503
S2 S 0.3449 0.3449 0.3449
S3 S 0.6551 0.6551 0.6551
S4 S 0.8497 0.8497 0.8497
O1 O 0.0566 0.0566 0.6930
O2 O 0.0566 0.6930 0.0566
O3 O 0.0949 0.7494 0.7494
O4 O 0.1680 0.5569 0.5569
O5 O 0.1934 0.1934 0.1934
O6 O 0.2447 0.2447 0.5900
O7 O 0.2447 0.5900 0.2447
O8 O 0.2506 0.2506 0.9051
O9 O 0.2506 0.9051 0.2506
O10 O 0.3016 0.3016 0.3016
O11 O 0.3070 0.9434 0.9434
O12 O 0.4100 0.7553 0.7553
O13 O 0.4431 0.4431 0.8320
O14 O 0.4431 0.8320 0.4431
O15 O 0.5569 0.1680 0.5569
O16 O 0.5569 0.5569 0.1680
O17 O 0.5900 0.2447 0.2447
O18 O 0.6930 0.0566 0.0566
O19 O 0.6984 0.6984 0.6984
O20 O 0.7494 0.0949 0.7494
O21 O 0.7494 0.7494 0.0949
O22 O 0.7553 0.4100 0.7553
O23 O 0.7553 0.7553 0.4100
O24 O 0.8066 0.8066 0.8066
O25 O 0.8320 0.4431 0.4431
O26 O 0.9051 0.2506 0.2506
O27 O 0.9434 0.3070 0.9434
O28 O 0.9434 0.9434 0.3070
```

No. 2
Diffraction record for CaAlSiHO5. The powder X-ray diffraction pattern is computed, not measured: it uses a cell relaxed with GGA-PBE and a wavelength of 1.5418 Å.

Principal peaks in the range 10° ≤ 2θ ≤ 80°, by angle:
d [Å]  two_theta  intensity
3.970  22.40  31
3.027  29.51  100
2.661  33.69  50
2.547  35.24  67
2.476  36.29  51
2.415  37.24  53
2.234  40.37  48
2.165  41.72  41
1.543  59.95  41
1.446  64.44  27

Atomic structure:
```
data_CaAlSiHO5
_space_group_name_H-M_alt 'P 1'
_space_group_IT_number 1
_cell_length_a 5.7515
_cell_length_b 7.1200
_cell_length_c 8.6050
_cell_angle_alpha 90.00
_cell_angle_beta 90.00
_cell_angle_gamma 90.00
loop_
_space_group_symop_operation_xyz
'x,y,z'
loop_
_atom_site_label
_atom_site_type_symbol
_atom_site_fract_x
_atom_site_fract_y
_atom_site_fract_z
Ca1 Ca 0.0303 0.1363 0.3356
Ca2 Ca 0.4697 0.8637 0.8356
Ca3 Ca 0.5303 0.3637 0.6644
Ca4 Ca 0.9697 0.6363 0.1644
Al1 Al 0.2428 0.2623 0.9947
Al2 Al 0.2572 0.7377 0.4947
Al3 Al 0.7428 0.2377 0.0053
Al4 Al 0.7572 0.7623 0.5053
Si1 Si 0.0124 0.6209 0.8102
Si2 Si 0.4876 0.3791 0.3102
Si3 Si 0.5124 0.8791 0.1898
Si4 Si 0.9876 0.1209 0.6898
H1 H 0.0201 0.9772 0.0069
H2 H 0.4799 0.0228 0.5069
H3 H 0.5201 0.5228 0.9931
H4 H 0.9799 0.4772 0.4931
O1 O 0.0056 0.1044 0.0642
O2 O 0.0087 0.9300 0.5712
O3 O 0.0722 0.7889 0.9329
O4 O 0.2322 0.1486 0.7893
O5 O 0.2417 0.6136 0.6929
O6 O 0.2583 0.3864 0.1929
O7 O 0.2678 0.8514 0.2893
O8 O 0.4278 0.2111 0.4329
O9 O 0.4913 0.0700 0.0712
O10 O 0.4944 0.8956 0.5642
O11 O 0.5056 0.3956 0.9358
O12 O 0.5087 0.5700 0.4288
O13 O 0.5722 0.7111 0.0671
O14 O 0.7322 0.3514 0.2107
O15 O 0.7417 0.8864 0.3071
O16 O 0.7583 0.1136 0.8071
O17 O 0.7678 0.6486 0.7107
O18 O 0.9278 0.2889 0.5671
O19 O 0.9913 0.4300 0.9288
O20 O 0.9944 0.6044 0.4358
```